Diffraction record for EuClF. The powder XRD pattern is computed, not measured: it uses a DFT-relaxed cell (GGA-PBE, the Materials Project) and Cu Kα (λ = 1.5418 Å).
Kinematic intensities with the Lorentz-polarization factor, no thermal factor.

Principal peaks in the range 2θ from 5° to 70°, in order of rising 2θ:
two_theta	intensity	h k l
24.98	100	1 0 1
25.33	25	0 0 2
30.58	63	1 1 0
33.46	47	1 0 2
40.11	53	1 1 2
43.79	35	2 0 0
44.43	21	1 0 3
51.08	31	2 1 1
56.21	20	2 1 2
56.92	18	1 0 4

Atomic structure:
Cell: 4.134 4.134 7.032 Å, 90.00 90.00 90.00°
Atoms (fractional coordinates):
Eu 0.250 0.250 0.206
Eu 0.750 0.750 0.794
Cl 0.250 0.250 0.646
Cl 0.750 0.750 0.354
F 0.250 0.750 0.000
F 0.750 0.250 0.000